Structure and computed X-ray powder pattern of BaSrPrCoO6 (a GGA+U-relaxed structure; λ = 1.5418 Å (Cu Kα)).

Cell and atoms:
a b c (Å): 5.895 5.905 8.408
angles (deg): 90.01 90.07 90.60
Atoms (fractional coordinates):
Ba  0.003  0.000  0.250
Ba  0.997  0.000  0.750
Sr  0.497  0.500  0.750
Sr  0.503  0.500  0.250
Pr  0.000  0.500  0.000
Pr  0.500  0.000  0.500
Co  0.000  0.500  0.500
Co  0.500  0.000  0.000
O  0.002  0.479  0.725
O  0.213  0.730  0.512
O  0.241  0.288  0.488
O  0.268  0.786  0.988
O  0.289  0.239  0.012
O  0.499  0.973  0.225
O  0.501  0.027  0.775
O  0.711  0.761  0.988
O  0.732  0.214  0.012
O  0.759  0.712  0.512
O  0.787  0.270  0.488
O  0.998  0.521  0.275

Principal peaks in the range 2θ = 15–90°, low angle first:
Position (°2θ)	I_rel	index
30.10	51	1 -1 2
30.28	100	2 0 0
43.03	16	0 0 4
43.14	16	2 -2 0
43.62	15	2 2 0
53.54	30	0 2 -4